No. 1
Theoretical powder XRD pattern
Compound: ZrCrCuS4
Radiation: Cu Kα
Structure: the PBE geometry in Alexandria
Neutral-atom scattering factors, no anomalous dispersion.

```
data_ZrCrCuS4
_chemical_formula_sum 'Zr4 Cr4 Cu4 S16'
_space_group_name_H-M_alt 'P m n 21'
_space_group_IT_number 31
_space_group_name_Hall 'P 2ac -2'
_cell_length_a 3.602
_cell_length_b 12.264
_cell_length_c 12.818
_cell_angle_alpha 90.00
_cell_angle_beta 90.00
_cell_angle_gamma 90.00
loop_
_atom_site_label
_atom_site_type_symbol
_atom_site_fract_x
_atom_site_fract_y
_atom_site_fract_z
Zr1 Zr 0.000 0.105 0.000
Zr2 Zr 0.000 0.689 0.194
Cr1 Cr 0.000 0.224 0.476
Cr2 Cr 0.000 0.732 0.675
Cu1 Cu 0.000 0.459 0.270
Cu2 Cu 0.000 0.961 0.208
S1 S 0.000 0.170 0.652
S2 S 0.000 0.281 0.297
S3 S 0.000 0.304 0.057
S4 S 0.000 0.434 0.774
S5 S 0.000 0.642 0.010
S6 S 0.000 0.858 0.364
S7 S 0.000 0.902 0.947
S8 S 0.000 0.919 0.654
```

Main lines, in order of rising 2θ (10° ≤ 2θ ≤ 90°):
6.409 Å, rel. 76, (0 0 2); 5.680 Å, rel. 100, (0 1 2); 3.205 Å, rel. 61, (0 0 4); 3.042 Å, rel. 69, (1 1 2); 2.350 Å, rel. 63, (1 1 4); 2.194 Å, rel. 66, (1 4 2)

No. 2
Theoretical powder XRD pattern
Compound: ZrCrCuS4
Radiation: Cu Kα
Structure: the PBE geometry in Alexandria
Neutral-atom scattering factors, no anomalous dispersion.

```
data_ZrCrCuS4
_chemical_formula_sum 'Zr2 Cr2 Cu2 S8'
_space_group_name_H-M_alt 'P 1 2/m 1'
_space_group_IT_number 10
_space_group_name_Hall '-P 2y'
_cell_length_a 6.057
_cell_length_b 3.595
_cell_length_c 11.728
_cell_angle_alpha 90.00
_cell_angle_beta 91.48
_cell_angle_gamma 90.00
loop_
_atom_site_label
_atom_site_type_symbol
_atom_site_fract_x
_atom_site_fract_y
_atom_site_fract_z
Zr1 Zr 0.010 0.000 0.256
Cr1 Cr 0.481 0.500 0.243
Cu1 Cu 0.000 0.000 0.000
Cu2 Cu 0.500 0.500 0.500
S1 S 0.181 0.500 0.383
S2 S 0.185 0.500 0.872
S3 S 0.333 0.000 0.124
S4 S 0.359 0.000 0.638
```

Main lines, in order of rising 2θ (10° ≤ 2θ ≤ 90°):
5.862 Å, rel. 45, (0 0 2); 3.091 Å, rel. 61, (1 1 0); 2.719 Å, rel. 100, (1 1 2); 2.141 Å, rel. 70, (1 1 -4); 2.113 Å, rel. 68, (1 1 4); 1.760 Å, rel. 53, (3 1 0)

No. 3
Theoretical powder XRD pattern
Compound: ZrCrCuS4
Radiation: Cu Kα
Structure: the PBE geometry in Alexandria
Neutral-atom scattering factors, no anomalous dispersion.

```
data_ZrCrCuS4
_chemical_formula_sum 'Zr4 Cr4 Cu4 S16'
_space_group_name_H-M_alt 'P 1'
_space_group_IT_number 1
_space_group_name_Hall 'P 1'
_cell_length_a 6.340
_cell_length_b 7.268
_cell_length_c 13.097
_cell_angle_alpha 82.50
_cell_angle_beta 76.47
_cell_angle_gamma 89.81
loop_
_atom_site_label
_atom_site_type_symbol
_atom_site_fract_x
_atom_site_fract_y
_atom_site_fract_z
Zr1 Zr 0.000 0.000 0.000
Zr2 Zr 0.145 0.414 0.477
Zr3 Zr 0.496 0.267 0.002
Zr4 Zr 0.647 0.813 0.738
Cr1 Cr 0.137 0.568 0.767
Cr2 Cr 0.533 0.757 0.993
Cr3 Cr 0.647 0.676 0.463
Cr4 Cr 0.652 0.143 0.459
Cu1 Cu 0.116 0.879 0.476
Cu2 Cu 0.229 0.055 0.737
Cu3 Cu 0.641 0.365 0.743
Cu4 Cu 0.993 0.479 0.090
S1 S 0.022 0.345 0.671
S2 S 0.049 0.840 0.659
S3 S 0.261 0.286 0.862
S4 S 0.268 0.787 0.869
S5 S 0.305 0.968 0.097
S6 S 0.328 0.506 0.108
S7 S 0.336 0.148 0.407
S8 S 0.359 0.687 0.385
S9 S 0.490 0.590 0.641
S10 S 0.575 0.121 0.635
S11 S 0.731 0.024 0.878
S12 S 0.750 0.547 0.872
S13 S 0.784 0.729 0.102
S14 S 0.790 0.223 0.106
S15 S 0.831 0.425 0.395
S16 S 0.854 0.927 0.382
```

Main lines, in order of rising 2θ (10° ≤ 2θ ≤ 90°):
4.207 Å, rel. 100, (0 0 3); 3.153 Å, rel. 70, (1 -2 0); 3.055 Å, rel. 63, (1 2 2); 2.540 Å, rel. 51, (1 2 -2); 2.522 Å, rel. 49, (2 0 4); 2.515 Å, rel. 56, (-1 2 3)

No. 4
Theoretical powder XRD pattern
Compound: CrCuSb2
Radiation: Cu Kα
Structure: the PBE geometry in Alexandria
Neutral-atom scattering factors, no anomalous dispersion.

```
data_CrCuSb2
_chemical_formula_sum 'Cr2 Cu2 Sb4'
_space_group_name_H-M_alt 'A m m 2'
_space_group_IT_number 38
_space_group_name_Hall 'A 2 -2'
_cell_length_a 4.033
_cell_length_b 3.726
_cell_length_c 10.172
_cell_angle_alpha 90.00
_cell_angle_beta 90.00
_cell_angle_gamma 90.00
loop_
_atom_site_label
_atom_site_type_symbol
_atom_site_fract_x
_atom_site_fract_y
_atom_site_fract_z
Cr1 Cr 0.000 0.000 0.000
Cu1 Cu 0.500 0.000 0.170
Sb1 Sb 0.000 0.000 0.719
Sb2 Sb 0.500 0.000 0.438
```

Main lines, in order of rising 2θ (10° ≤ 2θ ≤ 90°):
3.160 Å, rel. 21, (1 0 2); 2.643 Å, rel. 100, (1 1 1); 2.543 Å, rel. 30, (0 0 4); 2.508 Å, rel. 30, (0 1 3); 2.130 Å, rel. 47, (1 1 3); 2.017 Å, rel. 24, (2 0 0)

No. 5
Theoretical powder XRD pattern
Compound: Cr5CuSe8
Radiation: Cu Kα
Structure: the PBE geometry in Alexandria
Neutral-atom scattering factors, no anomalous dispersion.

```
data_Cr5CuSe8
_chemical_formula_sum 'Cr20 Cu4 Se32'
_space_group_name_H-M_alt 'F -4 3 m'
_space_group_IT_number 216
_space_group_name_Hall 'F -4 2 3'
_cell_length_a 10.228
_cell_length_b 10.228
_cell_length_c 10.228
_cell_angle_alpha 90.00
_cell_angle_beta 90.00
_cell_angle_gamma 90.00
loop_
_atom_site_label
_atom_site_type_symbol
_atom_site_fract_x
_atom_site_fract_y
_atom_site_fract_z
Cr1 Cr 0.000 0.000 0.000
Cr2 Cr 0.103 0.103 0.397
Cu1 Cu 0.250 0.250 0.750
Se1 Se 0.123 0.123 0.623
Se2 Se 0.139 0.139 0.139
```

Main lines, in order of rising 2θ (10° ≤ 2θ ≤ 90°):
3.084 Å, rel. 33, (3 1 1); 2.953 Å, rel. 69, (2 2 2); 2.557 Å, rel. 87, (4 0 0); 1.968 Å, rel. 34, (5 1 1); 1.808 Å, rel. 100, (4 4 0); 1.542 Å, rel. 33, (6 2 2)

No. 6
Theoretical powder XRD pattern
Compound: Ti2Cr4Cu3Se12
Radiation: Cu Kα
Structure: the PBE geometry in Alexandria
Neutral-atom scattering factors, no anomalous dispersion.

```
data_Ti2Cr4Cu3Se12
_chemical_formula_sum 'Ti8 Cr16 Cu12 Se48'
_space_group_name_H-M_alt 'C 1 2/c 1'
_space_group_IT_number 15
_space_group_name_Hall '-C 2yc'
_cell_length_a 10.486
_cell_length_b 10.476
_cell_length_c 16.418
_cell_angle_alpha 90.00
_cell_angle_beta 107.01
_cell_angle_gamma 90.00
loop_
_atom_site_label
_atom_site_type_symbol
_atom_site_fract_x
_atom_site_fract_y
_atom_site_fract_z
Ti1 Ti 0.085 0.242 0.165
Cr1 Cr 0.000 0.000 0.000
Cr2 Cr 0.167 0.493 0.333
Cr3 Cr 0.250 0.250 0.000
Cu1 Cu 0.000 0.135 0.750
Cu2 Cu 0.164 0.378 0.582
Se1 Se 0.009 0.243 0.002
Se2 Se 0.077 0.488 0.171
Se3 Se 0.088 0.002 0.662
Se4 Se 0.160 0.250 0.330
Se5 Se 0.173 0.263 0.839
Se6 Se 0.244 0.009 0.006
```

Main lines, in order of rising 2θ (10° ≤ 2θ ≤ 90°):
3.052 Å, rel. 37, (2 2 2); 2.996 Å, rel. 36, (2 2 -4); 2.619 Å, rel. 100, (0 0 6); 1.878 Å, rel. 24, (4 0 4); 1.852 Å, rel. 87, (0 4 6); 1.826 Å, rel. 21, (4 0 -8)

No. 7
Theoretical powder XRD pattern
Compound: ZnCr8Cu3Se16
Radiation: Cu Kα
Structure: the PBE geometry in Alexandria
Neutral-atom scattering factors, no anomalous dispersion.

```
data_ZnCr8Cu3Se16
_chemical_formula_sum 'Zn3 Cr24 Cu9 Se48'
_space_group_name_H-M_alt 'R 3 m'
_space_group_IT_number 160
_space_group_name_Hall 'R 3 -2"'
_cell_length_a 7.3962
_cell_length_b 7.3962
_cell_length_c 36.1826
_cell_angle_alpha 90.00
_cell_angle_beta 90.00
_cell_angle_gamma 120.00
loop_
_atom_site_label
_atom_site_type_symbol
_atom_site_fract_x
_atom_site_fract_y
_atom_site_fract_z
Zn1 Zn 0.0000 0.0000 0.0000
Cr1 Cr 0.0000 0.0000 0.3111
Cr2 Cr 0.0000 0.0000 0.8131
Cr3 Cr 0.1679 0.3359 0.8951
Cr4 Cr 0.1684 0.3368 0.3968
Cu1 Cu 0.0000 0.0000 0.1248
Cu2 Cu 0.0000 0.0000 0.5000
Cu3 Cu 0.0000 0.0000 0.6250
Se1 Se 0.0000 0.0000 0.1910
Se2 Se 0.0000 0.0000 0.4338
Se3 Se 0.0000 0.0000 0.6917
Se4 Se 0.0000 0.0000 0.9320
Se5 Se 0.0205 0.5103 0.9357
Se6 Se 0.0211 0.5106 0.4367
Se7 Se 0.1766 0.3533 0.5221
Se8 Se 0.1806 0.3613 0.0227
```

Main lines, in order of rising 2θ (10° ≤ 2θ ≤ 90°):
3.152 Å, rel. 38, (1 0 10); 3.018 Å, rel. 52, (0 0 12); 2.614 Å, rel. 76, (2 0 8); 2.012 Å, rel. 30, (2 1 10); 1.848 Å, rel. 100, (2 2 0); 1.576 Å, rel. 20, (2 2 12)

No. 8
Theoretical powder XRD pattern
Compound: UCrCuSi2
Radiation: Cu Kα
Structure: the PBE geometry in Alexandria
Neutral-atom scattering factors, no anomalous dispersion.

```
data_UCrCuSi2
_chemical_formula_sum 'U2 Cr2 Cu2 Si4'
_space_group_name_H-M_alt 'I -4 m 2'
_space_group_IT_number 119
_space_group_name_Hall 'I -4 -2'
_cell_length_a 3.934
_cell_length_b 3.934
_cell_length_c 10.340
_cell_angle_alpha 90.00
_cell_angle_beta 90.00
_cell_angle_gamma 90.00
loop_
_atom_site_label
_atom_site_type_symbol
_atom_site_fract_x
_atom_site_fract_y
_atom_site_fract_z
U1 U 0.000 0.000 0.000
Cr1 Cr 0.000 0.500 0.750
Cu1 Cu 0.000 0.500 0.250
Si1 Si 0.000 0.000 0.385
```

Main lines, in order of rising 2θ (10° ≤ 2θ ≤ 90°):
3.677 Å, rel. 74, (1 0 1); 2.592 Å, rel. 62, (1 0 3); 2.450 Å, rel. 100, (1 1 2); 1.967 Å, rel. 34, (2 0 0); 1.830 Å, rel. 26, (1 0 5); 1.566 Å, rel. 44, (2 0 4)